[1]
Lu3Sn: computed powder XRD pattern (Cu Kα (weighted mean of Kα1 and Kα2)), based on a cell relaxed with GGA-PBE.
No peak broadening, texture or thermal motion is included.

The 10 most intense peaks (2θ = 10–90°), in order of rising 2θ:
- d = 2.907 Å, intensity 23
- d = 2.721 Å, intensity 26
- d = 2.564 Å, intensity 100
- d = 1.986 Å, intensity 16
- d = 1.678 Å, intensity 19
- d = 1.539 Å, intensity 21
- d = 1.428 Å, intensity 22
- d = 1.404 Å, intensity 16
- d = 1.282 Å, intensity 4
- d = 1.134 Å, intensity 8

Atomic structure:
```
data_Lu3Sn
_cell_length_a 6.713
_cell_length_b 6.713
_cell_length_c 5.442
_cell_angle_alpha 90.00
_cell_angle_beta 90.00
_cell_angle_gamma 120.00
_space_group_name_H-M_alt 'P 1'
_space_group_IT_number 1
_space_group_name_Hall 'P 1'
loop_
_atom_site_label
_atom_site_type_symbol
_atom_site_fract_x
_atom_site_fract_y
_atom_site_fract_z
_atom_site_occupancy
Lu1 Lu 0.169 0.337 0.250 1
Lu2 Lu 0.169 0.831 0.250 1
Lu3 Lu 0.337 0.169 0.750 1
Lu4 Lu 0.663 0.831 0.250 1
Lu5 Lu 0.831 0.169 0.750 1
Lu6 Lu 0.831 0.663 0.750 1
Sn1 Sn 0.333 0.667 0.750 1
Sn2 Sn 0.667 0.333 0.250 1
```

---

[2]
PaAlSe4: computed powder XRD pattern (Cu Kα (weighted mean of Kα1 and Kα2)), based on a cell relaxed with GGA-PBE.
No peak broadening, texture or thermal motion is included.

The 10 most intense peaks (2θ = 10–90°), in order of rising 2θ:
- d = 6.121 Å, intensity 100
- d = 4.506 Å, intensity 93
- d = 3.489 Å, intensity 23
- d = 2.826 Å, intensity 76
- d = 2.656 Å, intensity 49
- d = 2.394 Å, intensity 39
- d = 2.353 Å, intensity 80
- d = 2.253 Å, intensity 27
- d = 1.893 Å, intensity 65
- d = 1.762 Å, intensity 24

Atomic structure:
```
data_PaAlSe4
_cell_length_a 7.615
_cell_length_b 7.615
_cell_length_c 7.615
_cell_angle_alpha 107.45
_cell_angle_beta 107.45
_cell_angle_gamma 113.60
_space_group_name_H-M_alt 'P 1'
_space_group_IT_number 1
_space_group_name_Hall 'P 1'
loop_
_atom_site_label
_atom_site_type_symbol
_atom_site_fract_x
_atom_site_fract_y
_atom_site_fract_z
_atom_site_occupancy
Pa1 Pa 0.375 0.625 0.750 1
Pa2 Pa 0.625 0.375 0.250 1
Al1 Al 0.125 0.875 0.250 1
Al2 Al 0.875 0.125 0.750 1
Se1 Se 0.106 0.671 0.435 1
Se2 Se 0.264 0.329 0.935 1
Se3 Se 0.329 0.264 0.435 1
Se4 Se 0.329 0.894 0.065 1
Se5 Se 0.671 0.106 0.935 1
Se6 Se 0.671 0.736 0.565 1
Se7 Se 0.736 0.671 0.065 1
Se8 Se 0.894 0.329 0.565 1
```

---

[3]
CaTb2Pm3Bi6: computed powder XRD pattern (Cu Kα (weighted mean of Kα1 and Kα2)), based on a cell relaxed with GGA-PBE.
No peak broadening, texture or thermal motion is included.

The 10 most intense peaks (2θ = 10–90°), in order of rising 2θ:
- d = 3.722 Å, intensity 8
- d = 3.223 Å, intensity 100
- d = 2.282 Å, intensity 39
- d = 2.276 Å, intensity 39
- d = 1.865 Å, intensity 7
- d = 1.859 Å, intensity 21
- d = 1.611 Å, intensity 14
- d = 1.443 Å, intensity 19
- d = 1.440 Å, intensity 19
- d = 1.315 Å, intensity 19

Atomic structure:
```
data_CaTb2Pm3Bi6
_cell_length_a 10.188
_cell_length_b 10.188
_cell_length_c 9.120
_cell_angle_alpha 102.70
_cell_angle_beta 102.70
_cell_angle_gamma 25.83
_space_group_name_H-M_alt 'P 1'
_space_group_IT_number 1
_space_group_name_Hall 'P 1'
loop_
_atom_site_label
_atom_site_type_symbol
_atom_site_fract_x
_atom_site_fract_y
_atom_site_fract_z
_atom_site_occupancy
Ca1 Ca 0.000 0.000 0.000 1
Tb1 Tb 0.333 0.333 0.667 1
Tb2 Tb 0.667 0.667 0.333 1
Pm1 Pm 0.000 0.000 0.500 1
Pm2 Pm 0.335 0.335 0.165 1
Pm3 Pm 0.665 0.665 0.835 1
Bi1 Bi 0.168 0.168 0.089 1
Bi2 Bi 0.168 0.168 0.581 1
Bi3 Bi 0.498 0.498 0.747 1
Bi4 Bi 0.502 0.502 0.253 1
Bi5 Bi 0.832 0.832 0.419 1
Bi6 Bi 0.832 0.832 0.911 1
```

---

[4]
Pm3HoTe6: computed powder XRD pattern (Cu Kα (weighted mean of Kα1 and Kα2)), based on a cell relaxed with GGA-PBE.
No peak broadening, texture or thermal motion is included.

The 10 most intense peaks (2θ = 10–90°), in order of rising 2θ:
- d = 3.378 Å, intensity 80
- d = 3.252 Å, intensity 53
- d = 3.225 Å, intensity 51
- d = 3.123 Å, intensity 54
- d = 3.088 Å, intensity 54
- d = 2.777 Å, intensity 54
- d = 2.577 Å, intensity 100
- d = 2.326 Å, intensity 54
- d = 2.195 Å, intensity 55
- d = 2.170 Å, intensity 64

Atomic structure:
```
data_Pm3HoTe6
_cell_length_a 7.415
_cell_length_b 8.244
_cell_length_c 13.393
_cell_angle_alpha 90.00
_cell_angle_beta 122.66
_cell_angle_gamma 90.00
_space_group_name_H-M_alt 'P 1'
_space_group_IT_number 1
_space_group_name_Hall 'P 1'
loop_
_atom_site_label
_atom_site_type_symbol
_atom_site_fract_x
_atom_site_fract_y
_atom_site_fract_z
_atom_site_occupancy
Pm1 Pm 0.000 0.000 0.000 1
Pm2 Pm 0.000 0.500 0.500 1
Pm3 Pm 0.306 0.120 0.754 1
Pm4 Pm 0.306 0.380 0.254 1
Pm5 Pm 0.694 0.620 0.746 1
Pm6 Pm 0.694 0.880 0.246 1
Ho1 Ho 0.500 0.000 0.500 1
Ho2 Ho 0.500 0.500 0.000 1
Te1 Te 0.090 0.052 0.255 1
Te2 Te 0.090 0.448 0.755 1
Te3 Te 0.245 0.673 0.081 1
Te4 Te 0.245 0.827 0.581 1
Te5 Te 0.421 0.178 0.079 1
Te6 Te 0.421 0.322 0.579 1
Te7 Te 0.579 0.678 0.421 1
Te8 Te 0.579 0.822 0.921 1
Te9 Te 0.755 0.173 0.419 1
Te10 Te 0.755 0.327 0.919 1
Te11 Te 0.910 0.552 0.245 1
Te12 Te 0.910 0.948 0.745 1
```

---

[5]
NdEuY2: computed powder XRD pattern (Cu Kα (weighted mean of Kα1 and Kα2)), based on a cell relaxed with GGA-PBE.
No peak broadening, texture or thermal motion is included.

The 10 most intense peaks (2θ = 10–90°), in order of rising 2θ:
- d = 4.113 Å, intensity 6
- d = 2.908 Å, intensity 100
- d = 2.375 Å, intensity 2
- d = 2.057 Å, intensity 18
- d = 1.839 Å, intensity 3
- d = 1.679 Å, intensity 39
- d = 1.454 Å, intensity 12
- d = 1.301 Å, intensity 16
- d = 1.187 Å, intensity 4
- d = 1.099 Å, intensity 20

Atomic structure:
```
data_NdEuY2
_cell_length_a 5.817
_cell_length_b 5.817
_cell_length_c 5.817
_cell_angle_alpha 60.00
_cell_angle_beta 60.00
_cell_angle_gamma 60.00
_space_group_name_H-M_alt 'P 1'
_space_group_IT_number 1
_space_group_name_Hall 'P 1'
loop_
_atom_site_label
_atom_site_type_symbol
_atom_site_fract_x
_atom_site_fract_y
_atom_site_fract_z
_atom_site_occupancy
Nd1 Nd 0.000 0.000 0.000 1
Eu1 Eu 0.500 0.500 0.500 1
Y1 Y 0.250 0.250 0.250 1
Y2 Y 0.750 0.750 0.750 1
```

---

[6]
Pm13Tl2: computed powder XRD pattern (Cu Kα (weighted mean of Kα1 and Kα2)), based on a cell relaxed with GGA-PBE.
No peak broadening, texture or thermal motion is included.

The 10 most intense peaks (2θ = 10–90°), in order of rising 2θ:
- d = 2.886 Å, intensity 71
- d = 2.876 Å, intensity 19
- d = 2.858 Å, intensity 45
- d = 2.851 Å, intensity 100
- d = 2.828 Å, intensity 49
- d = 2.030 Å, intensity 17
- d = 2.026 Å, intensity 16
- d = 1.650 Å, intensity 21
- d = 1.637 Å, intensity 19
- d = 1.509 Å, intensity 14

Atomic structure:
```
data_Pm13Tl2
_cell_length_a 6.705
_cell_length_b 9.055
_cell_length_c 9.115
_cell_angle_alpha 65.44
_cell_angle_beta 81.35
_cell_angle_gamma 82.18
_space_group_name_H-M_alt 'P 1'
_space_group_IT_number 1
_space_group_name_Hall 'P 1'
loop_
_atom_site_label
_atom_site_type_symbol
_atom_site_fract_x
_atom_site_fract_y
_atom_site_fract_z
_atom_site_occupancy
Pm1 Pm 0.000 0.000 0.000 1
Pm2 Pm 0.094 0.428 0.752 1
Pm3 Pm 0.195 0.201 0.204 1
Pm4 Pm 0.282 0.971 0.632 1
Pm5 Pm 0.304 0.630 0.967 1
Pm6 Pm 0.411 0.391 0.405 1
Pm7 Pm 0.470 0.830 0.178 1
Pm8 Pm 0.530 0.170 0.822 1
Pm9 Pm 0.589 0.609 0.595 1
Pm10 Pm 0.696 0.370 0.033 1
Pm11 Pm 0.718 0.029 0.368 1
Pm12 Pm 0.805 0.799 0.796 1
Pm13 Pm 0.906 0.572 0.248 1
Tl1 Tl 0.093 0.765 0.445 1
Tl2 Tl 0.907 0.235 0.555 1
```